Calculated powder diffraction line list
Compound: PmTlGaTe3
Radiation: Cu Ka
Structure: a cell relaxed with PBE

Principal peaks in the range 2θ = 5–70°, in order of falling intensity:
27.11°, I = 100, (2 1 -1)
27.27°, I = 42, (2 1 0)
38.57°, I = 26, (0 2 0)
41.63°, I = 22, (2 1 -4)
31.07°, I = 16, (1 0 3)
35.54°, I = 15, (2 1 2)
32.67°, I = 15, (1 1 -3)
47.75°, I = 14, (0 2 3)
38.00°, I = 14, (4 0 -1)
43.14°, I = 14, (3 1 2)

Atomic structure:
```
data_PmTlGaTe3
_chemical_formula_sum 'Pm2 Tl2 Ga2 Te6'
_cell_length_a 9.473
_cell_length_b 4.669
_cell_length_c 10.221
_cell_angle_alpha 90.00
_cell_angle_beta 104.65
_cell_angle_gamma 90.00
_space_group_name_H-M_alt 'P 1 21/m 1'
_space_group_IT_number 11
loop_
_space_group_symop_operation_xyz
'x,y,z'
'-x,-y,-z'
'-x,y+1/2,-z'
'x,-y+1/2,z'
loop_
_atom_site_label
_atom_site_type_symbol
_atom_site_fract_x
_atom_site_fract_y
_atom_site_fract_z
Pm1 Pm 0.167 0.250 0.139
Tl1 Tl 0.303 0.750 0.778
Ga1 Ga 0.409 0.750 0.397
Te1 Te 0.048 0.250 0.826
Te2 Te 0.288 0.250 0.474
Te3 Te 0.394 0.750 0.124
```

=====

Calculated powder diffraction line list
Compound: CeSmYPa
Radiation: Cu Ka
Structure: a cell relaxed with PBE

Principal peaks in the range 2θ = 5–70°, in order of falling intensity:
32.15°, I = 100, (2 2 0)
57.32°, I = 39, (4 2 2)
46.11°, I = 18, (4 0 0)
67.26°, I = 12, (4 4 0)
19.53°, I = 11, (1 1 1)
37.90°, I = 7, (3 1 1)
50.52°, I = 3, (3 3 1)
61.16°, I = 2, (5 1 1)

Atomic structure:
```
data_CeSmYPa
_chemical_formula_sum 'Ce4 Sm4 Y4 Pa4'
_cell_length_a 7.874
_cell_length_b 7.874
_cell_length_c 7.874
_cell_angle_alpha 90.00
_cell_angle_beta 90.00
_cell_angle_gamma 90.00
_space_group_name_H-M_alt 'F -4 3 m'
_space_group_IT_number 216
_space_group_name_Hall 'F -4 2 3'
loop_
_atom_site_label
_atom_site_type_symbol
_atom_site_fract_x
_atom_site_fract_y
_atom_site_fract_z
Ce1 Ce 0.000 0.000 0.000
Sm1 Sm 0.000 0.000 0.500
Y1 Y 0.250 0.250 0.250
Pa1 Pa 0.250 0.250 0.750
```

=====

Calculated powder diffraction line list
Compound: HfNbC
Radiation: Cu Ka
Structure: a cell relaxed with PBE

Principal peaks in the range 2θ = 5–70°, in order of falling intensity:
36.85°, I = 100, (1 0 1)
32.32°, I = 25, (1 0 0)
34.85°, I = 23, (0 0 2)
48.26°, I = 21, (1 0 2)
63.80°, I = 20, (0 1 3)
69.16°, I = 19, (1 1 2)
57.64°, I = 19, (1 1 0)
17.22°, I = 12, (0 0 1)
67.65°, I = 3, (2 0 0)
60.64°, I = 3, (1 1 1)

Atomic structure:
```
data_HfNbC
_chemical_formula_sum 'Hf1 Nb1 C1'
_cell_length_a 3.1982
_cell_length_b 3.1982
_cell_length_c 5.1487
_cell_angle_alpha 90.00
_cell_angle_beta 90.00
_cell_angle_gamma 120.00
_space_group_name_H-M_alt 'P 3 m 1'
_space_group_IT_number 156
loop_
_space_group_symop_operation_xyz
'x,y,z'
'-y,x-y,z'
'-x+y,-x,z'
'-y,-x,z'
'-x+y,y,z'
'x,x-y,z'
loop_
_atom_site_label
_atom_site_type_symbol
_atom_site_fract_x
_atom_site_fract_y
_atom_site_fract_z
Hf1 Hf 0.0000 0.0000 0.0000
Nb1 Nb 0.3333 0.6667 0.4975
C1 C 0.6667 0.3333 0.2588
```